[1]
The following is a simulated powder X-ray diffraction pattern of AcNd4Ir4. It was derived from a GGA-PBE-relaxed structure, using Cu Kα.
Neutral-atom scattering factors, no anomalous dispersion.

Peak list (8 most intense, 2θ from 5° to 70°, sorted by position)
2theta	intensity
18.01	26
30.45	100
32.30	41
37.80	21
38.23	23
42.70	32
43.60	30
47.17	26

Structural model:
Lattice parameters (Å, degrees): 9.285 9.285 5.808 90.00 90.00 90.00
Fractional coordinates of all 18 atoms:
1 Ac 0.250 0.250 0.250
2 Ac 0.750 0.750 0.750
3 Nd 0.082 0.654 0.150
4 Nd 0.154 0.918 0.650
5 Nd 0.346 0.582 0.650
6 Nd 0.418 0.846 0.150
7 Nd 0.582 0.154 0.850
8 Nd 0.654 0.418 0.350
9 Nd 0.846 0.082 0.350
10 Nd 0.918 0.346 0.850
11 Ir 0.038 0.614 0.647
12 Ir 0.114 0.962 0.147
13 Ir 0.386 0.538 0.147
14 Ir 0.462 0.886 0.647
15 Ir 0.538 0.114 0.353
16 Ir 0.614 0.462 0.853
17 Ir 0.886 0.038 0.853
18 Ir 0.962 0.386 0.353



[2]
The following is a simulated powder X-ray diffraction pattern of La2AgRh2. It was derived from a GGA-PBE-relaxed structure, using Cu Kα.
Neutral-atom scattering factors, no anomalous dispersion.

Peak list (8 most intense, 2θ from 5° to 70°, sorted by position)
2theta	intensity
32.71	100
35.75	23
36.95	27
37.40	75
38.00	21
39.29	38
55.03	17
67.67	29

Structural model:
Lattice parameters (Å, degrees): 5.611 5.611 5.611 131.75 115.28 84.66
Fractional coordinates of all 5 atoms:
1 La 0.207 0.207 0.000
2 La 0.793 0.793 0.000
3 Ag 0.500 0.000 0.500
4 Rh 0.230 0.500 0.730
5 Rh 0.770 0.500 0.270